Starting from DFT lattice parameters and positions (PBE), the powder diffractogram of TcPt was simulated for CuKα.
Kinematic intensities with the Lorentz-polarization factor, no thermal factor.

Atomic structure:
Lattice parameters (Å, degrees): 2.7827 2.7827 4.4859 90.00 90.00 120.00
Space group P-6m2 (No. 187)
Asymmetric unit:
Tc (0.0000, 0.0000, 0.0000)
Pt (0.3333, 0.6667, 0.5000)

Main lines, low angle first (5 to 70 degrees two-theta):
two_theta	Rel. int.	h k l
19.79	14	0 0 1
37.31	30	1 0 0
40.21	25	0 0 2
42.59	100	1 0 1
56.01	19	1 0 2
62.07	1	0 0 3
67.29	17	1 1 0